Starting from a cell relaxed with PBE, the powder diffractogram of La8Y5Pu was computed for a wavelength of 1.5418 Å.
Kinematic intensities with the Lorentz-polarization factor, no thermal factor.

Structural model:
Cell lengths 15.4628, 8.5433, 8.7755 Å; angles 90.00, 121.52, 90.00 degrees
Space group C2 (No. 5)
Inequivalent atoms, fractional coordinates:
1 La 0.1188 0.0000 0.1873 [4 per cell]
2 La 0.1747 0.5881 0.2209 [4 per cell]
3 La 0.1759 0.2765 0.9156 [4 per cell]
4 La 0.1864 0.7669 0.5651 [4 per cell]
5 Y 0.0000 0.0312 0.5000 [2 per cell]
6 Y 0.0529 0.6854 0.7761 [4 per cell]
7 Y 0.1006 0.3677 0.4634 [4 per cell]
8 Pu 0.0000 0.3517 0.0000 [2 per cell]

Principal peaks in the range 2θ from 5° to 70°, sorted by position:
12.4 deg, d 7.142, intensity 307; 29.2 deg, d 3.059, intensity 228; 29.9 deg, d 2.986, intensity 480; 30.3 deg, d 2.947, intensity 197; 30.6 deg, d 2.925, intensity 351; 31.3 deg, d 2.857, intensity 1000; 31.8 deg, d 2.818, intensity 816; 32.2 deg, d 2.784, intensity 273; 36.0 deg, d 2.492, intensity 149; 56.8 deg, d 1.621, intensity 148